This entry pairs a crystal structure of NdErZn6 with its calculated powder X-ray diffraction pattern. Radiation: CuKα. Structure: DFT lattice parameters and positions (PBE).

Cell and atoms:
```
data_NdErZn6
_symmetry_space_group_name_H-M 'P m m 2'
_symmetry_Int_Tables_number 25
_cell_length_a 4.7052
_cell_length_b 6.6806
_cell_length_c 4.7059
_cell_angle_alpha 90.00
_cell_angle_beta 90.00
_cell_angle_gamma 90.00
loop_
_symmetry_equiv_pos_as_xyz
'x,y,z'
'-x,-y,z'
'-x,y,z'
'x,-y,z'
loop_
_atom_site_label
_atom_site_fract_x
_atom_site_fract_y
_atom_site_fract_z
Nd1 0.0000 0.0000 0.0000
Er1 0.5000 0.5000 0.4941
Zn1 0.0000 0.2615 0.5005
Zn2 0.0000 0.5000 0.9992
Zn3 0.5000 0.0000 0.4968
Zn4 0.5000 0.2615 0.9939
```

Main lines, in order of falling intensity (10° ≤ 2θ ≤ 90°):
| 2θ (°) | intensity |
| --- | --- |
| 38.2 | 100 |
| 69.1 | 22 |
| 23.1 | 12 |
| 55.2 | 11 |
| 69.0 | 11 |
| 81.7 | 7 |
| 55.0 | 6 |
| 45.2 | 4 |
| 26.8 | 4 |
| 81.9 | 3 |